No. 1
For AlBi3O9, a cell relaxed with PBE gives the computed powder X-ray diffraction pattern in this record (Cu Ka).
Lines closer than 0.1° are merged.

The 6 most intense peaks (2θ = 10–90°), in order of falling intensity:
d [Å], intensity
3.600, 1000
2.726, 595
2.362, 575
2.173, 559
3.127, 517
2.546, 508

Atomic structure:
```
AlBi3O9
1.0
3.6003 0.0000 0.0000
0.0000 3.6003 0.0000
0.0000 0.0000 12.5226
Al Bi O
1 3 9
Direct
0.0000 0.0000 0.0000 Al
0.5000 0.5000 0.2182 Bi
0.5000 0.5000 0.5000 Bi
0.5000 0.5000 0.7818 Bi
0.0000 0.0000 0.1550 O
0.0000 0.0000 0.5000 O
0.0000 0.0000 0.8450 O
0.0000 0.5000 0.0000 O
0.0000 0.5000 0.3413 O
0.0000 0.5000 0.6587 O
0.5000 0.0000 0.0000 O
0.5000 0.0000 0.3413 O
0.5000 0.0000 0.6587 O
```

---

No. 2
For Zr2N2O, a cell relaxed with PBE gives the computed powder X-ray diffraction pattern in this record (Cu Ka).
Lines closer than 0.1° are merged.

The 6 most intense peaks (2θ = 10–90°), in order of falling intensity:
d [Å], intensity
2.961, 1000
2.563, 372
2.952, 324
1.814, 252
1.810, 241
4.184, 182

Atomic structure:
```
Zr2N2O
1.0
8.8566 0.0000 0.0000
-2.9389 8.3780 0.0000
-2.9581 -4.1752 7.2578
Zr N O
16 16 8
Direct
0.0000 0.0000 0.0000 Zr
0.0100 0.5112 0.5266 Zr
0.0363 0.7892 0.2608 Zr
0.2114 0.7547 0.9792 Zr
0.2405 0.5302 0.2912 Zr
0.2547 0.0374 0.8003 Zr
0.2883 0.2503 0.5417 Zr
0.4602 0.7203 0.7663 Zr
0.4879 0.9995 0.4971 Zr
0.5094 0.5085 0.0182 Zr
0.5370 0.2888 0.2594 Zr
0.7265 0.7642 0.4817 Zr
0.7392 0.9556 0.2208 Zr
0.7585 0.4737 0.7205 Zr
0.7812 0.2420 0.0404 Zr
0.9624 0.2166 0.7588 Zr
0.0076 0.4654 0.7456 N
0.0451 0.2789 0.0445 N
0.2274 0.4561 0.4974 N
0.2390 0.7757 0.7367 N
0.2589 0.9936 0.5428 N
0.2713 0.7599 0.2404 N
0.2734 0.0393 0.0610 N
0.4651 0.7361 0.0202 N
0.4886 0.2316 0.4679 N
0.5373 0.2691 0.0021 N
0.7234 0.9702 0.9638 N
0.7368 0.0178 0.4751 N
0.7715 0.5470 0.5188 N
0.7716 0.7276 0.2479 N
0.9466 0.7292 0.9751 N
0.9687 0.9602 0.7380 N
0.0335 0.0479 0.2839 O
0.2291 0.2797 0.7750 O
0.4532 0.4932 0.2374 O
0.5148 0.7734 0.5551 O
0.5398 0.5064 0.7847 O
0.7253 0.2366 0.7827 O
0.7632 0.2322 0.2816 O
0.9862 0.5359 0.2727 O
```

---

No. 3
For Mg3Ni20P6, a cell relaxed with PBE gives the computed powder X-ray diffraction pattern in this record (Cu Ka).
Lines closer than 0.1° are merged.

The 6 most intense peaks (2θ = 10–90°), in order of falling intensity:
d [Å], intensity
2.135, 1000
1.875, 414
1.961, 272
3.922, 197
1.849, 173
1.307, 164

Atomic structure:
```
Mg3Ni20P6
1.0
0.0000 5.5459 5.5459
5.5459 0.0000 5.5459
5.5459 5.5459 0.0000
Mg Ni P
3 20 6
Direct
0.0000 0.0000 0.0000 Mg
0.2500 0.2500 0.2500 Mg
0.7500 0.7500 0.7500 Mg
0.0000 0.0000 0.3492 Ni
0.0000 0.0000 0.6508 Ni
0.0000 0.3492 0.0000 Ni
0.0000 0.3492 0.6508 Ni
0.0000 0.6508 0.0000 Ni
0.0000 0.6508 0.3492 Ni
0.1525 0.6158 0.6158 Ni
0.3492 0.0000 0.0000 Ni
0.3492 0.0000 0.6508 Ni
0.3492 0.6508 0.0000 Ni
0.3842 0.3842 0.3842 Ni
0.3842 0.3842 0.8475 Ni
0.3842 0.8475 0.3842 Ni
0.6158 0.1525 0.6158 Ni
0.6158 0.6158 0.1525 Ni
0.6158 0.6158 0.6158 Ni
0.6508 0.0000 0.0000 Ni
0.6508 0.0000 0.3492 Ni
0.6508 0.3492 0.0000 Ni
0.8475 0.3842 0.3842 Ni
0.2644 0.2644 0.7356 P
0.2644 0.7356 0.2644 P
0.2644 0.7356 0.7356 P
0.7356 0.2644 0.2644 P
0.7356 0.2644 0.7356 P
0.7356 0.7356 0.2644 P
```